# SmMg2H7
Simulated powder X-ray diffraction pattern, λ = 1.5418 Å (Cu Kα). Input: a structure optimized by DFT (GGA-PBE).
Lines closer than 0.1° are merged.

Largest 8 diffraction maxima, sorted by position, 2θ = 10–90°:
Position (°2θ)	Rel. int.
17.33	99
28.20	100
29.07	47
32.53	59
34.04	92
49.37	23
50.99	37
54.78	20

Structural model:
```
data_SmMg2H7
_space_group_name_H-M_alt 'P 41 21 2'
_space_group_IT_number 92
_space_group_name_Hall 'P 4abw 2nw'
_cell_length_a 6.1440
_cell_length_b 6.1440
_cell_length_c 9.2374
_cell_angle_alpha 90.00
_cell_angle_beta 90.00
_cell_angle_gamma 90.00
loop_
_atom_site_label
_atom_site_type_symbol
_atom_site_fract_x
_atom_site_fract_y
_atom_site_fract_z
Sm1 Sm 0.2277 0.2277 0.0000
Mg1 Mg 0.0296 0.7380 0.9010
H1 H 0.0329 0.9612 0.3776
H2 H 0.0627 0.4210 0.8228
H3 H 0.1572 0.6891 0.5015
H4 H 0.2446 0.7554 0.7500
```